Calculated X-ray powder pattern of Tb4YAgS8 for λ = 1.5418 Å (Cu Kα), from a cell relaxed with PBE.

Structural model:
a = 8.054 Å, b = 8.054 Å, c = 8.054 Å
α = 60.07°, β = 60.07°, γ = 60.07°
Atoms (fractional coordinates):
Tb 0.000 0.000 0.000
Tb 0.379 0.379 0.862
Tb 0.379 0.862 0.379
Tb 0.862 0.379 0.379
Y 0.379 0.379 0.379
Ag 0.750 0.750 0.750
S 0.134 0.134 0.134
S 0.134 0.134 0.599
S 0.134 0.599 0.134
S 0.148 0.617 0.617
S 0.599 0.134 0.134
S 0.617 0.148 0.617
S 0.617 0.617 0.148
S 0.617 0.617 0.617

Principal peaks in the range 10° ≤ 2θ ≤ 90°, most intense first:
25.9 deg, rel. 100
45.0 deg, rel. 59
41.2 deg, rel. 45
22.1 deg, rel. 27
62.6 deg, rel. 22
31.4 deg, rel. 21
52.7 deg, rel. 14
83.0 deg, rel. 14
38.7 deg, rel. 13
71.7 deg, rel. 13

---

Calculated X-ray powder pattern of Na2LiTeSe4 for λ = 1.5418 Å (Cu Kα), from a cell relaxed with PBE.

Structural model:
a = 8.276 Å, b = 8.276 Å, c = 8.276 Å
α = 125.11°, β = 115.25°, γ = 89.90°
Atoms (fractional coordinates):
Na 0.000 0.000 0.000
Na 0.500 0.000 0.000
Na 0.500 0.000 0.500
Na 0.500 0.500 0.500
Li 0.000 0.500 0.500
Li 0.500 0.500 0.000
Te 0.000 0.000 0.500
Te 0.000 0.500 0.000
Se 0.231 0.249 0.982
Se 0.233 0.751 0.482
Se 0.241 0.285 0.544
Se 0.241 0.697 0.956
Se 0.759 0.303 0.044
Se 0.759 0.715 0.456
Se 0.767 0.249 0.518
Se 0.769 0.751 0.018

Principal peaks in the range 10° ≤ 2θ ≤ 90°, most intense first:
30.9 deg, rel. 100
44.0 deg, rel. 73
12.5 deg, rel. 62
30.5 deg, rel. 57
40.7 deg, rel. 24
51.7 deg, rel. 24
15.1 deg, rel. 18
72.3 deg, rel. 15
25.2 deg, rel. 14
34.6 deg, rel. 13

---

Calculated X-ray powder pattern of LaCeF6 for λ = 1.5418 Å (Cu Kα), from a cell relaxed with PBE.

Structural model:
a = 5.623 Å, b = 5.623 Å, c = 8.415 Å
α = 90.00°, β = 90.00°, γ = 90.00°
Atoms (fractional coordinates):
La 0.000 0.000 0.000
La 0.000 0.000 0.500
Ce 0.500 0.500 0.250
Ce 0.500 0.500 0.750
F 0.198 0.243 0.179
F 0.198 0.243 0.821
F 0.243 0.802 0.321
F 0.243 0.802 0.679
F 0.302 0.328 0.500
F 0.328 0.698 0.000
F 0.672 0.302 0.000
F 0.698 0.672 0.500
F 0.757 0.198 0.321
F 0.757 0.198 0.679
F 0.802 0.757 0.179
F 0.802 0.757 0.821

Principal peaks in the range 10° ≤ 2θ ≤ 90°, most intense first:
26.5 deg, rel. 100
22.4 deg, rel. 97
41.9 deg, rel. 81
53.5 deg, rel. 24
49.0 deg, rel. 23
45.6 deg, rel. 22
51.4 deg, rel. 17
31.8 deg, rel. 15
54.5 deg, rel. 15
63.6 deg, rel. 15